For Ac2FeP2N6, the GGA-PBE geometry in Alexandria gives the calculated X-ray powder pattern in this record (a wavelength of 1.5418 Å).
Intensities are scaled so that the largest is 100.

Most intense lines, 2θ from 5° to 70°, in order of falling intensity:
32.3 deg, I = 100; 21.7 deg, I = 78; 29.4 deg, I = 72; 34.2 deg, I = 41; 44.2 deg, I = 38; 39.2 deg, I = 34; 63.0 deg, I = 27; 55.8 deg, I = 25; 57.6 deg, I = 20; 47.8 deg, I = 19; 51.7 deg, I = 19; 58.8 deg, I = 17

a b c (Å): 6.127 6.127 6.127
angles (deg): 53.83 53.83 53.83
Fractional positions:
1 Ac 0.229 0.229 0.229
2 Ac 0.771 0.771 0.771
3 Fe 0.000 0.000 0.000
4 P 0.430 0.430 0.430
5 P 0.570 0.570 0.570
6 N 0.244 0.244 0.746
7 N 0.244 0.746 0.244
8 N 0.254 0.756 0.756
9 N 0.746 0.244 0.244
10 N 0.756 0.254 0.756
11 N 0.756 0.756 0.254

For AcFe2PN, the GGA-PBE geometry in Alexandria gives the calculated X-ray powder pattern in this record (a wavelength of 1.5418 Å).
Intensities are scaled so that the largest is 100.

Most intense lines, 2θ from 5° to 70°, in order of falling intensity:
35.8 deg, I = 100; 36.4 deg, I = 40; 33.9 deg, I = 24; 24.3 deg, I = 23; 30.8 deg, I = 20; 46.5 deg, I = 16; 60.1 deg, I = 14; 63.9 deg, I = 14; 16.5 deg, I = 14; 21.0 deg, I = 14; 52.9 deg, I = 13; 42.9 deg, I = 13

a b c (Å): 5.727 5.727 6.880
angles (deg): 90.00 90.00 140.16
Fractional positions:
1 Ac 0.053 0.947 0.750
2 Ac 0.947 0.053 0.250
3 Fe 0.335 0.665 0.556
4 Fe 0.335 0.665 0.944
5 Fe 0.665 0.335 0.056
6 Fe 0.665 0.335 0.444
7 P 0.226 0.774 0.250
8 P 0.774 0.226 0.750
9 N 0.500 0.500 0.000
10 N 0.500 0.500 0.500

For AcPmFeN2, the GGA-PBE geometry in Alexandria gives the calculated X-ray powder pattern in this record (a wavelength of 1.5418 Å).
Intensities are scaled so that the largest is 100.

Most intense lines, 2θ from 5° to 70°, in order of falling intensity:
34.0 deg, I = 100; 24.6 deg, I = 98; 31.0 deg, I = 84; 38.1 deg, I = 73; 26.0 deg, I = 63; 29.1 deg, I = 60; 37.0 deg, I = 51; 40.9 deg, I = 47; 26.5 deg, I = 41; 44.5 deg, I = 40; 23.1 deg, I = 39; 54.0 deg, I = 27

a b c (Å): 5.870 4.657 6.956
angles (deg): 90.00 100.27 90.00
Fractional positions:
1 Ac 0.000 0.136 0.250
2 Ac 0.000 0.864 0.750
3 Pm 0.500 0.472 0.750
4 Pm 0.500 0.528 0.250
5 Fe 0.500 0.000 0.000
6 Fe 0.500 0.000 0.500
7 N 0.251 0.260 0.970
8 N 0.251 0.740 0.470
9 N 0.749 0.260 0.530
10 N 0.749 0.740 0.030

For AcPr2FeN4, the GGA-PBE geometry in Alexandria gives the calculated X-ray powder pattern in this record (a wavelength of 1.5418 Å).
Intensities are scaled so that the largest is 100.

Most intense lines, 2θ from 5° to 70°, in order of falling intensity:
29.9 deg, I = 100; 26.4 deg, I = 78; 36.7 deg, I = 70; 29.5 deg, I = 54; 34.3 deg, I = 48; 29.3 deg, I = 38; 45.7 deg, I = 30; 50.7 deg, I = 26; 42.1 deg, I = 25; 47.8 deg, I = 23; 27.0 deg, I = 21; 51.1 deg, I = 19

a b c (Å): 6.313 6.313 12.184
angles (deg): 90.00 90.00 147.13
Fractional positions:
1 Ac 0.110 0.890 0.750
2 Ac 0.890 0.110 0.250
3 Pr 0.367 0.633 0.545
4 Pr 0.367 0.633 0.955
5 Pr 0.633 0.367 0.045
6 Pr 0.633 0.367 0.455
7 Fe 0.168 0.832 0.250
8 Fe 0.832 0.168 0.750
9 N 0.000 0.000 0.000
10 N 0.000 0.000 0.500
11 N 0.269 0.731 0.134
12 N 0.269 0.731 0.366
13 N 0.393 0.607 0.750
14 N 0.607 0.393 0.250
15 N 0.731 0.269 0.634
16 N 0.731 0.269 0.866

For AcTb2FeN4, the GGA-PBE geometry in Alexandria gives the calculated X-ray powder pattern in this record (a wavelength of 1.5418 Å).
Intensities are scaled so that the largest is 100.

Most intense lines, 2θ from 5° to 70°, in order of falling intensity:
30.8 deg, I = 100; 30.5 deg, I = 83; 27.5 deg, I = 74; 37.9 deg, I = 58; 35.4 deg, I = 48; 52.5 deg, I = 29; 47.5 deg, I = 28; 52.6 deg, I = 27; 62.0 deg, I = 25; 49.4 deg, I = 23; 43.7 deg, I = 20; 27.8 deg, I = 18

a b c (Å): 6.116 6.116 11.689
angles (deg): 90.00 90.00 146.90
Fractional positions:
1 Ac 0.102 0.898 0.750
2 Ac 0.898 0.102 0.250
3 Tb 0.367 0.633 0.545
4 Tb 0.367 0.633 0.955
5 Tb 0.633 0.367 0.045
6 Tb 0.633 0.367 0.455
7 Fe 0.166 0.834 0.250
8 Fe 0.834 0.166 0.750
9 N 0.000 0.000 0.000
10 N 0.000 0.000 0.500
11 N 0.264 0.736 0.126
12 N 0.264 0.736 0.374
13 N 0.402 0.598 0.750
14 N 0.598 0.402 0.250
15 N 0.736 0.264 0.626
16 N 0.736 0.264 0.874

For AcFeNiP2, the GGA-PBE geometry in Alexandria gives the calculated X-ray powder pattern in this record (a wavelength of 1.5418 Å).
Intensities are scaled so that the largest is 100.

Most intense lines, 2θ from 5° to 70°, in order of falling intensity:
36.5 deg, I = 100; 32.8 deg, I = 98; 24.4 deg, I = 87; 58.8 deg, I = 37; 47.3 deg, I = 37; 58.4 deg, I = 36; 30.7 deg, I = 32; 45.5 deg, I = 25; 57.5 deg, I = 22; 54.0 deg, I = 22; 67.8 deg, I = 16; 33.0 deg, I = 15

a b c (Å): 3.840 3.840 11.651
angles (deg): 90.00 90.00 90.00
Fractional positions:
1 Ac 0.000 0.000 0.000
2 Ac 0.500 0.500 0.500
3 Fe 0.000 0.500 0.250
4 Fe 0.500 0.000 0.750
5 Ni 0.000 0.500 0.750
6 Ni 0.500 0.000 0.250
7 P 0.000 0.000 0.350
8 P 0.000 0.000 0.650
9 P 0.500 0.500 0.150
10 P 0.500 0.500 0.850